The following is a calculated XRD peak list of PaMn2AsO6. It was derived from a GGA+U-relaxed structure, using CuKα.
No peak broadening, texture or thermal motion is included.

Peak list (10 most intense, 2θ = 15–90°, by angle)
d_spacing	2θ/deg	I (rel.)
4.468	19.87	100.0
4.334	20.49	64.9
3.111	28.69	90.8
3.065	29.14	80.4
2.527	35.52	38.8
2.167	41.68	54.6
1.986	45.69	57.9
1.950	46.58	41.7
1.778	51.38	37.5
1.464	63.55	42.1

Atomic structure:
Cell lengths 6.1294, 6.1294, 4.4683 Å; angles 90.00, 90.00, 90.00 degrees
Space group P4mm (No. 99)
Asymmetric unit:
Pa 0.0000 0.0000 0.0000 (multiplicity 1)
Mn 0.0000 0.5000 0.2159 (multiplicity 2)
As 0.5000 0.5000 0.9720 (multiplicity 1)
O 0.0000 0.0000 0.5270 (multiplicity 1)
O 0.2462 0.2462 0.0831 (multiplicity 4)
O 0.5000 0.5000 0.5940 (multiplicity 1)